Record 1
Starting from a structure optimized by DFT (PBE+U), the PXRD pattern of NiH12SO9 was calculated for Cu Kα (weighted mean of Kα1 and Kα2).
Neutral-atom scattering factors, no anomalous dispersion.

Structure:
Cell: 5.805 8.256 10.085 Å, 66.22 81.71 84.44°
Space group P1 (No. 1)
Symmetry-distinct sites (fractional):
Ni: 0.000 0.000 0.000
H: 0.164 0.295 0.127
H: 0.314 0.714 0.134
H: 0.333 0.449 0.046
H: 0.368 0.384 0.308
H: 0.434 0.394 0.363
H: 0.435 0.894 0.375
H: 0.564 0.337 0.861
H: 0.755 0.598 0.465
H: 0.779 0.266 0.791
H: 0.786 0.626 0.522
H: 0.911 0.076 0.456
H: 0.977 0.931 0.277
S: 0.524 0.919 0.960
O: 0.065 0.003 0.309
O: 0.174 0.423 0.092
O: 0.318 0.043 0.977
O: 0.420 0.722 0.046
O: 0.441 0.153 0.632
O: 0.643 0.202 0.589
O: 0.694 0.927 0.060
O: 0.730 0.354 0.831
O: 0.951 0.957 0.458

Main lines, low angle first (2θ from 5° to 70°):
Position (°2θ), Rel. int.
9.6, 100
11.7, 97
11.9, 53
18.2, 28
19.4, 32
20.8, 19
21.6, 12
23.6, 13
26.8, 27
28.9, 17

---

Record 2
Starting from a structure optimized by DFT (PBE+U), the PXRD pattern of NiH12SO9 was calculated for Cu Kα (weighted mean of Kα1 and Kα2).
Neutral-atom scattering factors, no anomalous dispersion.

Structure:
Cell: 8.7585 8.7585 9.2873 Å, 90.00 90.00 120.00°
Space group R3 (No. 146, hexagonal axes)
Symmetry-distinct sites (fractional):
Ni: 0.0000 0.0000 0.0000
H: 0.0341 0.4676 0.8344
H: 0.0819 0.7337 0.5533
H: 0.1508 0.3723 0.8285
H: 0.1758 0.6921 0.4244
S: 0.0000 0.0000 0.5098
O: 0.0048 0.8098 0.8613
O: 0.1341 0.4666 0.7851
O: 0.1809 0.1296 0.5800

Main lines, low angle first (2θ from 5° to 70°):
Position (°2θ), Rel. int.
15.1, 40
20.3, 100
22.4, 100
30.4, 44
32.7, 29
35.5, 22
36.8, 39
47.4, 25
50.6, 36
55.5, 22